Diffraction record for Sm2B6Ir9. The powder XRD pattern is simulated, not measured: it uses a crystal structure in Alexandria, relaxed with PBE and copper Kα.
Kinematic intensities with the Lorentz-polarization factor, no thermal factor.

Structural model:
```
data_Sm2B6Ir9
_chemical_formula_sum 'Sm2 B6 Ir9'
_space_group_name_H-M_alt 'P 6/m m m'
_space_group_IT_number 191
_space_group_name_Hall '-P 6 2'
_cell_length_a 5.6824
_cell_length_b 5.6824
_cell_length_c 8.6442
_cell_angle_alpha 90.00
_cell_angle_beta 90.00
_cell_angle_gamma 120.00
loop_
_atom_site_label
_atom_site_fract_x
_atom_site_fract_y
_atom_site_fract_z
Sm1 0.0000 0.0000 0.2032
B1 0.3333 0.6667 0.1674
B2 0.3333 0.6667 0.5000
Ir1 0.0000 0.5000 0.0000
Ir2 0.0000 0.5000 0.3365
```

Most intense lines, 2θ from 10° to 90°, sorted by position:
2θ/deg	d [Å]	I (rel.)	index
18.0	4.921	128	1 0 0
31.0	2.881	263	0 0 3
36.1	2.487	315	1 0 3
36.5	2.461	1000	2 0 0
44.8	2.023	205	1 1 3
48.7	1.871	510	2 0 3
59.1	1.563	155	2 1 3
65.7	1.421	195	2 2 0
74.5	1.274	135	2 2 3
76.6	1.243	183	2 0 6

***

Diffraction record for HoErIr. The powder XRD pattern is simulated, not measured: it uses a crystal structure in Alexandria, relaxed with PBE and copper Kα.
Kinematic intensities with the Lorentz-polarization factor, no thermal factor.

Structural model:
```
data_HoErIr
_chemical_formula_sum 'Ho4 Er4 Ir4'
_space_group_name_H-M_alt 'C 1 2/c 1'
_space_group_IT_number 15
_cell_length_a 6.7480
_cell_length_b 6.7484
_cell_length_c 6.7426
_cell_angle_alpha 90.00
_cell_angle_beta 90.10
_cell_angle_gamma 90.00
loop_
_space_group_symop_operation_xyz
'x,y,z'
'-x,-y,-z'
'-x,y,-z+1/2'
'x,-y,z+1/2'
'x+1/2,y+1/2,z'
'-x+1/2,-y+1/2,-z'
'-x+1/2,y+1/2,-z+1/2'
'x+1/2,-y+1/2,z+1/2'
loop_
_atom_site_label
_atom_site_fract_x
_atom_site_fract_y
_atom_site_fract_z
Ho1 0.0000 0.0004 0.2500
Er1 0.0000 0.5003 0.2500
Ir1 0.2500 0.2500 0.0000
```

Most intense lines, 2θ from 10° to 90°, sorted by position:
2θ/deg	d [Å]	I (rel.)	index
22.8	3.895	321	1 1 1
26.4	3.373	93	2 0 0
37.7	2.385	1000	2 2 0
44.5	2.034	169	1 3 -1
54.4	1.687	175	4 0 0
59.7	1.548	59	3 3 1
68.1	1.377	299	4 2 2
68.2	1.376	60	2 2 4
72.8	1.298	47	1 5 1
80.5	1.193	95	4 4 0

***

Diffraction record for Nb14PdW. The powder XRD pattern is simulated, not measured: it uses a crystal structure in Alexandria, relaxed with PBE and copper Kα.
Kinematic intensities with the Lorentz-polarization factor, no thermal factor.

Structural model:
```
data_Nb14PdW
_chemical_formula_sum 'Nb28 Pd2 W2'
_space_group_name_H-M_alt 'C m m m'
_space_group_IT_number 65
_space_group_name_Hall '-C 2 2'
_cell_length_a 6.5962
_cell_length_b 9.4555
_cell_length_c 9.1894
_cell_angle_alpha 90.00
_cell_angle_beta 90.00
_cell_angle_gamma 90.00
loop_
_atom_site_label
_atom_site_fract_x
_atom_site_fract_y
_atom_site_fract_z
Nb1 0.0000 0.0000 0.0000
Nb2 0.0000 0.2492 0.2534
Nb3 0.0000 0.5000 0.0000
Nb4 0.2437 0.5000 0.2532
Nb5 0.2500 0.2500 0.0000
Nb6 0.2500 0.2500 0.5000
Pd1 0.0000 0.0000 0.5000
W1 0.0000 0.5000 0.5000
```

Most intense lines, 2θ from 10° to 90°, sorted by position:
2θ/deg	d [Å]	I (rel.)	index
38.1	2.364	261	0 4 0
38.6	2.331	1000	2 2 2
39.2	2.297	239	0 0 4
55.8	1.648	252	0 4 4
69.2	1.358	173	2 6 2
69.5	1.352	85	4 4 0
70.3	1.340	83	4 0 4
70.7	1.333	161	2 2 6
81.4	1.182	29	0 8 0
82.8	1.166	104	4 4 4

***

Diffraction record for Ag2Te2Se. The powder XRD pattern is simulated, not measured: it uses a crystal structure in Alexandria, relaxed with PBE and copper Kα.
Kinematic intensities with the Lorentz-polarization factor, no thermal factor.

Structural model:
```
data_Ag2Te2Se
_chemical_formula_sum 'Ag4 Te4 Se2'
_space_group_name_H-M_alt 'P -1'
_space_group_IT_number 2
_cell_length_a 4.6290
_cell_length_b 7.7461
_cell_length_c 7.9476
_cell_angle_alpha 81.43
_cell_angle_beta 76.06
_cell_angle_gamma 82.15
loop_
_space_group_symop_operation_xyz
'x,y,z'
'-x,-y,-z'
loop_
_atom_site_label
_atom_site_fract_x
_atom_site_fract_y
_atom_site_fract_z
Ag1 0.0465 0.1718 0.0526
Ag2 0.4124 0.1230 0.3375
Te1 0.0886 0.8667 0.2987
Te2 0.2547 0.6111 0.6738
Se1 0.4982 0.6349 0.1196
```

Most intense lines, 2θ from 10° to 90°, sorted by position:
2θ/deg	d [Å]	I (rel.)	index
22.0	4.044	370	1 1 0
28.2	3.169	931	-1 1 1
28.6	3.126	320	1 2 1
31.1	2.880	328	0 2 2
31.5	2.844	1000	1 -1 2
34.0	2.640	256	1 -2 1
35.2	2.552	521	0 0 3
40.7	2.215	291	1 3 2
43.3	2.088	373	1 3 -1
47.8	1.904	334	0 4 0